This entry pairs a crystal structure of Ca2Mn2Si4H6O17 with its computed X-ray powder pattern. Radiation: CuKα. Structure: a GGA+U-relaxed structure.
No peak broadening, texture or thermal motion is included.

Cell and atoms:
```
Ca2Mn2Si4H6O17
1.0
5.3432 0.0000 0.0000
2.0309 5.1934 0.0000
0.5506 0.2083 12.0819
Ca Mn Si H O
2 2 4 6 17
Direct
0.0000 0.0000 0.0000
0.3916 0.4088 0.4662
0.1955 0.7072 0.7324
0.6944 0.2063 0.7330
0.5867 0.6117 0.1288
0.6771 0.6498 0.8844
0.7131 0.7634 0.5804
0.7798 0.8251 0.3357
0.0970 0.1082 0.5419
0.1728 0.6499 0.2402
0.2661 0.3896 0.0471
0.2996 0.2934 0.9224
0.7531 0.2327 0.2251
0.9889 0.1451 0.4173
0.0362 0.6290 0.6037
0.0628 0.0569 0.6840
0.1041 0.6460 0.3208
0.1373 0.1483 0.4640
0.2715 0.6671 0.1151
0.2867 0.2383 0.0009
0.3255 0.3578 0.7812
0.3551 0.7884 0.8601
0.5394 0.6076 0.6474
0.6017 0.0723 0.6000
0.6243 0.7759 0.2313
0.6775 0.7036 0.4491
0.7205 0.7029 0.0155
0.7233 0.1281 0.3472
0.7695 0.3015 0.1463
0.7858 0.3401 0.8665
0.8527 0.8039 0.8175
```

Top 10 peaks for 2θ from 10° to 90°, in order of rising 2θ:
2θ (°), I_rel, h k l
17.08, 529, 0 1 0
17.84, 420, 1 0 0
21.40, 1000, 1 1 -1
24.09, 527, 1 1 2
28.28, 442, 0 1 -3
29.03, 707, 1 0 -3
30.48, 580, 1 1 -3
32.52, 583, 1 -1 2
34.12, 500, 0 1 4
34.99, 543, 1 1 4